Record 1
Calculated powder X-ray diffraction pattern of ZnIn8Pb2 for copper Kα, from a crystal structure in Alexandria, relaxed with PBE.
No peak broadening, texture or thermal motion is included.

The 6 most intense peaks (10° ≤ 2θ ≤ 90°), by angle:
| 2θ/deg | intensity | (hkl) |
| --- | --- | --- |
| 29.57 | 33 | 1 1 2 |
| 33.35 | 100 | 1 1 3 |
| 37.37 | 48 | 2 0 0 |
| 51.51 | 21 | 2 0 5 |
| 62.87 | 18 | 1 1 8 |
| 64.86 | 28 | 3 1 3 |

Atomic structure:
abc: 4.813 4.813 13.127
angles: 90.00 90.00 90.00
Space group P4/mmm (No. 123)
Unique sites:
Zn (0.000, 0.000, 0.000) [1 per cell]
In (0.000, 0.500, 0.127) [4 per cell]
In (0.000, 0.500, 0.500) [2 per cell]
In (0.500, 0.500, 0.311) [2 per cell]
Pb (0.000, 0.000, 0.313) [2 per cell]

Record 2
Calculated powder X-ray diffraction pattern of Pr6Zn5Rh for copper Kα, from a crystal structure in Alexandria, relaxed with PBE.
No peak broadening, texture or thermal motion is included.

The 6 most intense peaks (10° ≤ 2θ ≤ 90°), by angle:
| 2θ/deg | intensity | (hkl) |
| --- | --- | --- |
| 24.12 | 13 | 4 0 -1 |
| 34.36 | 100 | 2 0 -2 |
| 34.44 | 19 | 6 0 0 |
| 49.40 | 21 | 0 4 0 |
| 61.50 | 22 | 0 2 3 |
| 61.63 | 20 | 6 4 0 |

Atomic structure:
abc: 16.467 7.385 5.226
angles: 90.00 108.42 90.00
Space group C2/m (No. 12)
Unique sites:
Pr (0.000, 0.241, 0.000) [4 per cell]
Pr (0.161, 0.243, 0.661) [8 per cell]
Zn (0.000, 0.500, 0.500) [2 per cell]
Zn (0.169, 0.500, 0.168) [4 per cell]
Zn (0.179, 0.000, 0.178) [4 per cell]
Rh (0.000, 0.000, 0.500) [2 per cell]

Record 3
Calculated powder X-ray diffraction pattern of Nd3In3Pd2 for copper Kα, from a crystal structure in Alexandria, relaxed with PBE.
No peak broadening, texture or thermal motion is included.

The 6 most intense peaks (10° ≤ 2θ ≤ 90°), by angle:
| 2θ/deg | intensity | (hkl) |
| --- | --- | --- |
| 29.99 | 100 | 2 4 0 |
| 33.29 | 55 | 1 1 2 |
| 33.88 | 99 | 2 4 1 |
| 35.35 | 66 | 3 0 1 |
| 36.68 | 67 | 1 3 2 |
| 39.44 | 57 | 1 4 2 |

Atomic structure:
abc: 8.487 16.735 5.759
angles: 90.00 90.00 90.00
Space group Pnma (No. 62)
Unique sites:
Nd (0.035, 0.111, 0.116) [8 per cell]
Nd (0.167, 0.250, 0.643) [4 per cell]
In (0.176, 0.750, 0.645) [4 per cell]
In (0.184, 0.034, 0.605) [8 per cell]
Pd (0.102, 0.615, 0.380) [8 per cell]

Record 4
Calculated powder X-ray diffraction pattern of La3Tb6Ce for copper Kα, from a crystal structure in Alexandria, relaxed with PBE.
No peak broadening, texture or thermal motion is included.

The 6 most intense peaks (10° ≤ 2θ ≤ 90°), by angle:
| 2θ/deg | intensity | (hkl) |
| --- | --- | --- |
| 29.28 | 72 | 1 1 3 |
| 31.15 | 100 | 3 0 0 |
| 43.27 | 24 | 4 -2 3 |
| 54.27 | 24 | 4 1 3 |
| 55.43 | 19 | 3 3 0 |
| 57.51 | 14 | 3 0 6 |

Atomic structure:
abc: 9.9463 9.9463 11.5886
angles: 90.00 90.00 120.00
Space group R3 (No. 146, hexagonal axes)
Unique sites:
La (0.0000, 0.0000, 0.0000) [3 per cell]
La (0.0000, 0.0000, 0.2501) [3 per cell]
La (0.0000, 0.0000, 0.5301) [3 per cell]
Tb (0.0088, 0.6710, 0.9418) [9 per cell]
Tb (0.0161, 0.3439, 0.4342) [9 per cell]
Ce (0.0000, 0.0000, 0.7619) [3 per cell]

Record 5
Calculated powder X-ray diffraction pattern of Na3Tl3RhO8 for copper Kα, from a crystal structure in Alexandria, relaxed with PBE.
No peak broadening, texture or thermal motion is included.

The 6 most intense peaks (10° ≤ 2θ ≤ 90°), by angle:
| 2θ/deg | intensity | (hkl) |
| --- | --- | --- |
| 15.99 | 100 | 0 0 3 |
| 31.11 | 53 | 0 2 1 |
| 32.51 | 51 | 2 0 2 |
| 37.66 | 65 | 0 2 4 |
| 41.15 | 21 | 2 0 5 |
| 57.13 | 22 | 2 2 3 |

Atomic structure:
abc: 6.7410 6.7410 16.6254
angles: 90.00 90.00 120.00
Space group R-3m (No. 166, hexagonal axes)
Unique sites:
Na (0.0000, 0.5000, 0.0000) [9 per cell]
Tl (0.0000, 0.5000, 0.5000) [9 per cell]
Rh (0.0000, 0.0000, 0.5000) [3 per cell]
O (0.0000, 0.0000, 0.2427) [6 per cell]
O (0.0438, 0.5219, 0.2335) [18 per cell]

Record 6
Calculated powder X-ray diffraction pattern of Ta4Os5Ru for copper Kα, from a crystal structure in Alexandria, relaxed with PBE.
No peak broadening, texture or thermal motion is included.

The 6 most intense peaks (10° ≤ 2θ ≤ 90°), by angle:
| 2θ/deg | intensity | (hkl) |
| --- | --- | --- |
| 39.34 | 91 | 1 1 -2 |
| 39.48 | 100 | 5 1 0 |
| 42.44 | 45 | 0 2 0 |
| 43.17 | 32 | 6 0 -2 |
| 62.15 | 22 | 6 2 -2 |
| 75.61 | 29 | 5 3 0 |

Atomic structure:
abc: 14.410 4.260 5.508
angles: 90.00 110.28 90.00
Space group C2/m (No. 12)
Unique sites:
Ta (0.085, 0.000, 0.341) [4 per cell]
Ta (0.197, 0.500, 0.130) [4 per cell]
Os (0.000, 0.500, 0.500) [2 per cell]
Os (0.113, 0.000, 0.852) [4 per cell]
Os (0.203, 0.500, 0.622) [4 per cell]
Ru (0.000, 0.500, 0.000) [2 per cell]

Record 7
Calculated powder X-ray diffraction pattern of PmSm3Sn for copper Kα, from a crystal structure in Alexandria, relaxed with PBE.
No peak broadening, texture or thermal motion is included.

The 6 most intense peaks (10° ≤ 2θ ≤ 90°), by angle:
| 2θ/deg | intensity | (hkl) |
| --- | --- | --- |
| 30.06 | 75 | 2 0 2 |
| 31.67 | 69 | 4 0 0 |
| 33.26 | 100 | 0 2 2 |
| 36.65 | 67 | 3 1 2 |
| 39.95 | 55 | 3 3 0 |
| 46.58 | 60 | 4 2 2 |

Atomic structure:
abc: 11.302 8.454 6.991
angles: 90.00 90.00 90.00
Space group Ima2 (No. 46)
Unique sites:
Pm (0.250, 0.239, 0.000) [4 per cell]
Sm (0.029, 0.742, 0.929) [8 per cell]
Sm (0.250, 0.570, 0.705) [4 per cell]
Sn (0.250, 0.566, 0.207) [4 per cell]

Record 8
Calculated powder X-ray diffraction pattern of Al5Ni41B12 for copper Kα, from a crystal structure in Alexandria, relaxed with PBE.
No peak broadening, texture or thermal motion is included.

The 6 most intense peaks (10° ≤ 2θ ≤ 90°), by angle:
| 2θ/deg | intensity | (hkl) |
| --- | --- | --- |
| 38.42 | 16 | 1 1 12 |
| 42.26 | 17 | 3 0 0 |
| 44.96 | 100 | 0 3 6 |
| 49.19 | 15 | 0 2 16 |
| 51.61 | 31 | 3 1 2 |
| 52.40 | 18 | 3 0 12 |

Atomic structure:
abc: 7.4043 7.4043 36.3353
angles: 90.00 90.00 120.00
Space group R-3m (No. 166, hexagonal axes)
Unique sites:
Al (0.0000, 0.0000, 0.0000) [3 per cell]
Al (0.0000, 0.0000, 0.1252) [6 per cell]
Al (0.0000, 0.0000, 0.3750) [6 per cell]
Ni (0.0000, 0.0000, 0.1914) [6 per cell]
Ni (0.0000, 0.0000, 0.3088) [6 per cell]
Ni (0.0000, 0.0000, 0.5000) [3 per cell]
Ni (0.0000, 0.3381, 0.0000) [18 per cell]
Ni (0.0000, 0.3379, 0.5000) [18 per cell]
Ni (0.0201, 0.5100, 0.4362) [18 per cell]
Ni (0.0202, 0.5101, 0.9362) [18 per cell]
Ni (0.1069, 0.5534, 0.7234) [18 per cell]
Ni (0.1094, 0.5547, 0.2226) [18 per cell]
B (0.0315, 0.5157, 0.3790) [18 per cell]
B (0.0312, 0.5156, 0.8788) [18 per cell]

Record 9
Calculated powder X-ray diffraction pattern of CeCoSi2 for copper Kα, from a crystal structure in Alexandria, relaxed with PBE.
No peak broadening, texture or thermal motion is included.

The 6 most intense peaks (10° ≤ 2θ ≤ 90°), by angle:
| 2θ/deg | intensity | (hkl) |
| --- | --- | --- |
| 31.86 | 80 | 1 1 0 |
| 35.12 | 74 | 1 0 2 |
| 35.48 | 100 | 1 1 -2 |
| 39.78 | 41 | 0 1 3 |
| 44.77 | 34 | 2 0 -1 |
| 45.17 | 33 | 0 2 0 |

Atomic structure:
abc: 4.049 4.014 8.480
angles: 90.00 103.81 90.00
Space group P2_1/m (No. 11)
Unique sites:
Ce (0.109, 0.250, 0.218) [2 per cell]
Co (0.322, 0.250, 0.644) [2 per cell]
Si (0.250, 0.750, 0.499) [2 per cell]
Si (0.459, 0.250, 0.918) [2 per cell]

Record 10
Calculated powder X-ray diffraction pattern of AcMgCd3 for copper Kα, from a crystal structure in Alexandria, relaxed with PBE.
No peak broadening, texture or thermal motion is included.

The 6 most intense peaks (10° ≤ 2θ ≤ 90°), by angle:
| 2θ/deg | intensity | (hkl) |
| --- | --- | --- |
| 23.70 | 35 | 2 1 1 |
| 27.49 | 39 | 0 2 0 |
| 30.77 | 100 | 2 2 0 |
| 33.69 | 89 | 4 1 1 |
| 39.27 | 55 | 0 2 2 |
| 52.68 | 50 | 4 3 1 |

Atomic structure:
abc: 13.057 6.489 6.490
angles: 90.00 90.00 90.00
Space group Pnna (No. 52)
Unique sites:
Ac (0.250, 0.000, 0.000) [4 per cell]
Mg (0.000, 0.250, 0.250) [4 per cell]
Cd (0.000, 0.250, 0.750) [4 per cell]
Cd (0.141, 0.000, 0.499) [8 per cell]